Computed powder diffraction line list of Ho6In4Pb7 for copper Kα, from a DFT-relaxed cell (GGA-PBE, Alexandria).

Peak list (10 most intense, 2θ from 5° to 70°, by angle)
Position (°2θ), Rel. int.
17.75, 133
30.99, 1000
33.55, 203
35.94, 685
42.41, 148
51.73, 433
61.54, 333
63.08, 85
64.60, 131
69.05, 106

Cell and atoms:
a b c (Å): 9.996 9.996 9.996
angles (deg): 90.00 90.00 90.00
Space group Im-3m (No. 229)
Inequivalent atoms, fractional coordinates:
1 Ho 0.000 0.000 0.291 [12 per cell]
2 In 0.250 0.250 0.250 [8 per cell]
3 Pb 0.000 0.000 0.000 [2 per cell]
4 Pb 0.000 0.250 0.500 [12 per cell]

---

Computed powder diffraction line list of Pm5Dy4Tl for copper Kα, from a DFT-relaxed cell (GGA-PBE, Alexandria).

Peak list (10 most intense, 2θ from 5° to 70°, by angle)
Position (°2θ), Rel. int.
9.65, 7
30.19, 618
32.46, 1000
36.41, 10
43.22, 233
49.75, 73
55.08, 451
59.30, 168
62.77, 77
67.98, 113

Cell and atoms:
a b c (Å): 4.187 4.187 18.327
angles (deg): 90.00 90.00 90.00
Space group P4/mmm (No. 123)
Inequivalent atoms, fractional coordinates:
1 Pm 0.000 0.000 0.000 [1 per cell]
2 Pm 0.000 0.000 0.204 [2 per cell]
3 Pm 0.000 0.000 0.409 [2 per cell]
4 Dy 0.500 0.500 0.102 [2 per cell]
5 Dy 0.500 0.500 0.304 [2 per cell]
6 Tl 0.500 0.500 0.500 [1 per cell]

---

Computed powder diffraction line list of K2PHSe4 for copper Kα, from a DFT-relaxed cell (GGA-PBE, Alexandria).

Peak list (10 most intense, 2θ from 5° to 70°, by angle)
Position (°2θ), Rel. int.
12.60, 560
16.07, 622
17.90, 762
21.02, 881
26.14, 466
27.41, 674
29.47, 1000
30.50, 759
35.26, 472
36.28, 980

Cell and atoms:
a b c (Å): 11.791 9.118 9.332
angles (deg): 90.00 110.73 90.00
Space group C2/c (No. 15)
Inequivalent atoms, fractional coordinates:
1 K 0.000 0.000 0.000 [4 per cell]
2 K 0.250 0.250 0.000 [4 per cell]
3 P 0.250 0.250 0.500 [4 per cell]
4 H 0.000 0.500 0.000 [4 per cell]
5 Se 0.100 0.361 0.608 [8 per cell]
6 Se 0.223 0.445 0.301 [8 per cell]